TeIr: calculated powder X-ray diffraction pattern (CuKα), based on a structure optimized by DFT (GGA-PBE).
Peak positions follow from Bragg's law for the DFT cell and can differ from measured ones.

Principal peaks in the range 2θ from 15° to 90°, low angle first:
two_theta	d_spacing	intensity
30.06	2.973	15.6
32.39	2.764	17.7
36.16	2.484	31.4
38.16	2.358	100.0
39.86	2.262	30.3
46.73	1.944	24.8
50.26	1.815	15.6
59.21	1.560	12.9
71.25	1.324	16.0
83.82	1.154	13.4

Atomic structure:
a = 4.5230 Å, b = 3.1216 Å, c = 5.9461 Å
α = 90.00°, β = 90.00°, γ = 90.00°
Positions (direct):
Te (0.2500, 0.0000, 0.2435)
Te (0.7500, 0.0000, 0.7565)
Ir (0.2500, 0.5000, 0.6376)
Ir (0.7500, 0.5000, 0.3624)

SmAgCO4: calculated powder X-ray diffraction pattern (CuKα), based on a structure optimized by DFT (GGA-PBE).
Peak positions follow from Bragg's law for the DFT cell and can differ from measured ones.

Principal peaks in the range 2θ from 15° to 90°, low angle first:
two_theta	d_spacing	intensity
16.02	5.532	62.5
19.40	4.576	98.1
30.61	2.920	100.0
32.37	2.766	83.0
36.21	2.481	48.1
37.09	2.424	37.4
39.38	2.288	41.3
40.26	2.240	81.5
44.35	2.043	33.9
61.83	1.500	46.6

Atomic structure:
a = 6.1992 Å, b = 6.1992 Å, c = 6.1992 Å
α = 126.81°, β = 104.54°, γ = 98.62°
Positions (direct):
Sm (0.0000, 0.0000, 0.0000)
Sm (0.5000, 0.0000, 0.5000)
Ag (0.5000, 0.0000, 0.0000)
Ag (0.5000, 0.5000, 0.5000)
C (0.1197, 0.3697, 0.7500)
C (0.8803, 0.6303, 0.2500)
O (0.1089, 0.7073, 0.4015)
O (0.1942, 0.2927, 0.9015)
O (0.2437, 0.2631, 0.5194)
O (0.2437, 0.7244, 0.9806)
O (0.7563, 0.2756, 0.0194)
O (0.7563, 0.7369, 0.4806)
O (0.8058, 0.7073, 0.0985)
O (0.8911, 0.2927, 0.5985)

In4H3I4: calculated powder X-ray diffraction pattern (CuKα), based on a structure optimized by DFT (GGA-PBE).
Peak positions follow from Bragg's law for the DFT cell and can differ from measured ones.

Principal peaks in the range 2θ from 15° to 90°, low angle first:
two_theta	d_spacing	intensity
23.88	3.727	59.0
24.81	3.589	33.6
26.29	3.390	100.0
26.75	3.333	95.8
31.33	2.855	20.2
35.66	2.518	21.4
36.16	2.484	39.8
37.85	2.377	74.9
45.13	2.009	21.7
45.37	1.999	20.1

Atomic structure:
a = 5.0182 Å, b = 13.3305 Å, c = 5.0586 Å
α = 90.00°, β = 95.41°, γ = 90.00°
Positions (direct):
In (0.0000, 0.0000, 0.0000)
In (0.2086, 0.5000, 0.7993)
In (0.6029, 0.2550, 0.4046)
In (0.6029, 0.7450, 0.4046)
H (0.2554, 0.0000, 0.7518)
H (0.3494, 0.2774, 0.6499)
H (0.3494, 0.7226, 0.6499)
I (0.0304, 0.2525, 0.9737)
I (0.0304, 0.7475, 0.9737)
I (0.5644, 0.0000, 0.4380)
I (0.6732, 0.5000, 0.3360)

Ca8N5: calculated powder X-ray diffraction pattern (CuKα), based on a structure optimized by DFT (GGA-PBE).
Peak positions follow from Bragg's law for the DFT cell and can differ from measured ones.

Principal peaks in the range 2θ from 15° to 90°, low angle first:
two_theta	d_spacing	intensity
30.20	2.959	100.0
35.01	2.563	88.5
46.01	1.973	20.4
50.36	1.812	57.8
59.85	1.545	30.0
62.81	1.480	14.4
64.97	1.435	9.2
70.57	1.335	6.4
81.94	1.176	9.0
84.55	1.146	13.8

Atomic structure:
a = 7.2483 Å, b = 7.2483 Å, c = 7.2483 Å
α = 60.00°, β = 60.00°, γ = 60.00°
Positions (direct):
Ca (0.0961, 0.6346, 0.6346)
Ca (0.1094, 0.1094, 0.1094)
Ca (0.1094, 0.1094, 0.6717)
Ca (0.1094, 0.6717, 0.1094)
Ca (0.6346, 0.0961, 0.6346)
Ca (0.6346, 0.6346, 0.0961)
Ca (0.6346, 0.6346, 0.6346)
Ca (0.6717, 0.1094, 0.1094)
N (0.3672, 0.8776, 0.8776)
N (0.5000, 0.5000, 0.5000)
N (0.8776, 0.3672, 0.8776)
N (0.8776, 0.8776, 0.3672)
N (0.8776, 0.8776, 0.8776)

LiEr2Pb3: calculated powder X-ray diffraction pattern (CuKα), based on a structure optimized by DFT (GGA-PBE).
Peak positions follow from Bragg's law for the DFT cell and can differ from measured ones.

Principal peaks in the range 2θ from 15° to 90°, low angle first:
two_theta	d_spacing	intensity
25.68	3.468	7.8
32.89	2.723	100.0
36.24	2.479	19.7
37.04	2.427	18.3
41.04	2.199	13.6
55.89	1.645	11.3
56.47	1.630	10.7
63.07	1.474	15.7
64.11	1.453	7.6
69.62	1.350	11.1

Atomic structure:
a = 4.8537 Å, b = 8.7965 Å, c = 7.8188 Å
α = 90.00°, β = 107.98°, γ = 90.00°
Positions (direct):
Li (0.1707, 0.0000, 0.3442)
Li (0.8293, 0.0000, 0.6558)
Er (0.1691, 0.5000, 0.3388)
Er (0.5000, 0.0000, 0.0000)
Er (0.5000, 0.5000, 0.0000)
Er (0.8309, 0.5000, 0.6612)
Pb (0.0000, 0.2446, 0.0000)
Pb (0.0000, 0.7554, 0.0000)
Pb (0.3322, 0.2397, 0.6642)
Pb (0.3322, 0.7603, 0.6642)
Pb (0.6678, 0.2397, 0.3358)
Pb (0.6678, 0.7603, 0.3358)

Tl16ZnIn12: calculated powder X-ray diffraction pattern (CuKα), based on a structure optimized by DFT (GGA-PBE).
Peak positions follow from Bragg's law for the DFT cell and can differ from measured ones.

Principal peaks in the range 2θ from 15° to 90°, low angle first:
two_theta	d_spacing	intensity
31.66	2.826	100.0
31.80	2.814	40.3
31.87	2.808	47.0
32.04	2.794	39.7
34.96	2.567	9.1
35.23	2.548	14.4
56.38	1.632	11.8
56.51	1.629	11.3
56.63	1.625	10.7
56.76	1.622	12.9

Atomic structure:
a = 10.3381 Å, b = 10.3381 Å, c = 10.2604 Å
α = 109.00°, β = 109.00°, γ = 109.73°
Positions (direct):
Tl (0.0000, 0.0000, 0.0000)
Tl (0.0014, 0.0014, 0.6376)
Tl (0.0029, 0.6053, 0.9631)
Tl (0.0050, 0.3644, 0.6370)
Tl (0.2939, 0.6771, 0.3261)
Tl (0.3217, 0.9939, 0.2385)
Tl (0.3292, 0.5986, 0.6320)
Tl (0.3644, 0.0050, 0.6370)
Tl (0.3994, 0.7078, 0.0350)
Tl (0.5986, 0.3292, 0.6320)
Tl (0.6053, 0.0029, 0.9631)
Tl (0.6244, 0.6244, 0.2931)
Tl (0.6771, 0.2939, 0.3261)
Tl (0.6803, 0.6803, 0.9299)
Tl (0.7078, 0.3994, 0.0350)
Tl (0.9939, 0.3217, 0.2385)
Zn (0.3557, 0.3557, 0.3043)
In (0.0009, 0.6349, 0.4512)
In (0.0055, 0.8220, 0.2765)
In (0.1791, 0.3669, 0.0104)
In (0.1964, 0.8180, 0.8253)
In (0.2040, 0.2040, 0.4464)
In (0.3554, 0.3554, 0.8090)
In (0.3669, 0.1791, 0.0104)
In (0.6349, 0.0009, 0.4512)
In (0.6432, 0.8228, 0.6507)
In (0.8180, 0.1964, 0.8253)
In (0.8220, 0.0055, 0.2765)
In (0.8228, 0.6432, 0.6507)